Entry 1:
# Pr5Ni19
Theoretical powder diffraction line list, Cu Kα. Input: a cell relaxed with GGA-PBE.
Peak positions follow from Bragg's law for the DFT cell and can differ from measured ones.

```
Pr5Ni19
1.0
2.5125 1.4506 16.2006
-2.5125 1.4506 16.2006
0.0000 -2.9012 16.2006
Pr Ni
5 19
Cartesian
0.0000 0.0000 0.0000
0.0000 0.0000 3.7987
0.0000 0.0000 7.3740
0.0000 0.0000 41.2277
0.0000 0.0000 44.8031
-1.2586 -0.7267 18.1757
-1.2521 -0.7229 22.1725
0.0000 0.0000 12.2035
0.0000 0.0000 16.1980
0.0000 -1.4459 26.4293
-1.2521 0.7229 26.4293
0.0000 0.0000 20.1801
0.0000 -1.4534 30.4261
-1.2586 0.7267 30.4261
0.0000 0.0000 24.3009
1.2586 -0.7267 18.1757
0.0000 1.4534 18.1757
0.0000 0.0000 28.4216
1.2521 -0.7229 22.1724
0.0000 1.4459 22.1724
0.0000 0.0000 32.4037
0.0000 0.0000 36.3983
1.2521 0.7229 26.4293
1.2586 0.7267 30.4260
```

Largest 12 diffraction maxima, sorted by position, 2θ from 10° to 90°:
31.55 deg, intensity 35
33.01 deg, intensity 27
35.74 deg, intensity 43
41.54 deg, intensity 32
42.33 deg, intensity 100
44.75 deg, intensity 17
45.69 deg, intensity 11
46.52 deg, intensity 10
61.60 deg, intensity 10
64.23 deg, intensity 16
68.74 deg, intensity 22
75.71 deg, intensity 20


Entry 2:
# Na2SrP4O18
Theoretical powder diffraction line list, Cu Kα. Input: a cell relaxed with GGA-PBE.
Peak positions follow from Bragg's law for the DFT cell and can differ from measured ones.

```
Na2SrP4O18
1.0
-3.8103 7.3886 3.3327
3.8103 -7.3886 3.3327
3.8103 7.3886 -3.3327
Na Sr P O
2 1 4 18
Cartesian
0.0000 3.5173 0.0000
0.0000 11.2599 0.0000
0.0000 0.0000 5.5336
2.2886 -1.4917 1.4180
5.3321 -1.4917 1.4180
2.2886 1.4917 1.4180
5.3320 1.4917 1.4180
3.8103 -1.5573 0.8824
1.4091 1.5868 0.2017
6.2115 1.5868 0.2017
1.7175 4.9162 -0.7933
2.0928 -2.4724 2.5394
3.8103 1.5573 0.8824
1.6317 7.3886 -1.2822
2.1786 0.0000 2.0505
3.8103 5.1465 0.5830
1.7175 9.8610 -0.7933
2.0928 2.4724 2.5394
0.0000 5.8717 1.3463
-0.7347 7.3886 1.3926
0.7347 7.3886 1.3926
0.0000 2.2421 3.9157
0.0000 8.9055 1.3463
-2.4012 5.8018 3.5344
2.4012 5.8018 3.5344
```

Largest 12 diffraction maxima, sorted by position, 2θ from 10° to 90°:
11.98 deg, intensity 57
14.58 deg, intensity 28
17.68 deg, intensity 47
22.44 deg, intensity 36
27.63 deg, intensity 100
29.40 deg, intensity 25
29.88 deg, intensity 23
30.04 deg, intensity 18
33.16 deg, intensity 21
33.79 deg, intensity 17
34.56 deg, intensity 14
45.42 deg, intensity 17


Entry 3:
# Tm5SbPd2
Theoretical powder diffraction line list, Cu Kα. Input: a cell relaxed with GGA-PBE.
Peak positions follow from Bragg's law for the DFT cell and can differ from measured ones.

```
Tm5SbPd2
1.0
-3.8147 3.8147 6.8143
3.8147 -3.8147 6.8143
3.8147 3.8147 -6.8143
Tm Sb Pd
10 2 4
Cartesian
0.0000 0.0000 0.0000
5.0150 1.2004 -1.9400
1.2004 2.6143 -1.9400
5.0150 1.2004 1.9400
1.2004 2.6143 1.9400
0.0000 0.0000 6.8143
2.6143 1.2004 4.8743
-1.2004 2.6143 4.8743
2.6143 1.2004 8.7544
-1.2004 2.6143 8.7544
0.0000 0.0000 3.4072
0.0000 0.0000 10.2215
2.7762 1.0385 0.0000
2.7762 -1.0385 6.8143
1.0385 4.8531 0.0000
1.0385 2.7762 6.8143
```

Largest 12 diffraction maxima, sorted by position, 2θ from 10° to 90°:
26.94 deg, intensity 11
31.04 deg, intensity 21
32.83 deg, intensity 100
33.21 deg, intensity 10
35.32 deg, intensity 26
37.27 deg, intensity 54
42.45 deg, intensity 10
53.47 deg, intensity 11
53.77 deg, intensity 15
57.99 deg, intensity 13
67.28 deg, intensity 13
69.50 deg, intensity 16